The following is a simulated powder diffractogram of Mn5P6WO24. It was derived from the GGA+U geometry in the Materials Project, using Cu Ka.

The 12 most intense peaks (2θ from 5° to 70°), low angle first:
d/Å	2theta	I (rel.)
7.155	12.37	33
6.196	14.29	14
4.383	20.26	100
3.737	23.81	74
3.098	28.82	15
2.844	31.46	20
2.770	32.32	63
2.531	35.47	44
1.959	46.35	23
1.868	48.74	26
1.657	55.47	35
1.503	61.71	21

Structure:
abc: 8.758 8.758 8.758
angles: 60.08 60.08 60.08
Positions (direct):
Mn (0.000, 0.000, 0.000)
Mn (0.139, 0.139, 0.139)
Mn (0.504, 0.504, 0.504)
Mn (0.648, 0.648, 0.648)
Mn (0.794, 0.794, 0.794)
P (0.103, 0.401, 0.696)
P (0.197, 0.893, 0.607)
P (0.401, 0.696, 0.103)
P (0.607, 0.197, 0.893)
P (0.696, 0.103, 0.401)
P (0.893, 0.607, 0.197)
W (0.292, 0.292, 0.292)
O (0.042, 0.850, 0.623)
O (0.064, 0.408, 0.225)
O (0.092, 0.235, 0.881)
O (0.163, 0.955, 0.758)
O (0.165, 0.327, 0.529)
O (0.225, 0.064, 0.408)
O (0.235, 0.881, 0.092)
O (0.256, 0.465, 0.653)
O (0.327, 0.529, 0.165)
O (0.392, 0.740, 0.580)
O (0.408, 0.225, 0.064)
O (0.465, 0.653, 0.256)
O (0.529, 0.165, 0.327)
O (0.552, 0.693, 0.913)
O (0.580, 0.392, 0.740)
O (0.623, 0.042, 0.850)
O (0.653, 0.256, 0.465)
O (0.693, 0.913, 0.552)
O (0.740, 0.580, 0.392)
O (0.758, 0.163, 0.955)
O (0.850, 0.623, 0.042)
O (0.881, 0.092, 0.235)
O (0.913, 0.552, 0.693)
O (0.955, 0.758, 0.163)